K4PH5S3O16: computed powder XRD pattern (Cu Kα, 1.54184 Å), based on a PBE-relaxed structure.
Peak positions follow from Bragg's law for the DFT cell and can differ from measured ones.

Largest 10 diffraction maxima, by intensity, 5 to 70 degrees two-theta:
2θ 24.81, rel. 100; 2θ 24.67, rel. 78; 2θ 27.25, rel. 72; 2θ 27.33, rel. 61; 2θ 28.77, rel. 54; 2θ 27.05, rel. 50; 2θ 31.21, rel. 45; 2θ 23.69, rel. 32; 2θ 23.83, rel. 31; 2θ 42.38, rel. 29

Crystal structure
a = 7.387 Å, b = 7.618 Å, c = 7.645 Å
α = 70.79°, β = 87.85°, γ = 85.53°
Atoms (fractional coordinates):
1 K 0.000 0.000 0.000
2 K 0.072 0.486 0.447
3 K 0.373 0.553 0.887
4 K 0.696 0.930 0.560
5 P 0.494 0.020 0.033
6 H 0.285 0.164 0.254
7 H 0.403 0.733 0.139
8 H 0.545 0.217 0.748
9 H 0.655 0.798 0.268
10 H 0.785 0.324 0.190
11 S 0.162 0.965 0.499
12 S 0.570 0.467 0.421
13 S 0.908 0.523 0.947
14 O 0.015 0.593 0.066
15 O 0.017 0.481 0.800
16 O 0.052 0.006 0.647
17 O 0.054 0.893 0.382
18 O 0.220 0.165 0.376
19 O 0.329 0.847 0.564
20 O 0.375 0.175 0.068
21 O 0.379 0.855 0.030
22 O 0.429 0.535 0.275
23 O 0.478 0.400 0.607
24 O 0.594 0.090 0.839
25 O 0.651 0.938 0.176
26 O 0.684 0.625 0.413
27 O 0.690 0.312 0.392
28 O 0.740 0.640 0.883
29 O 0.848 0.321 0.070


Ba4Ge20Au3: computed powder XRD pattern (Cu Kα, 1.54184 Å), based on a PBE-relaxed structure.
Peak positions follow from Bragg's law for the DFT cell and can differ from measured ones.

Largest 10 diffraction maxima, by intensity, 5 to 70 degrees two-theta:
2θ 30.39, rel. 100; 2θ 28.09, rel. 45; 2θ 51.17, rel. 44; 2θ 48.22, rel. 35; 2θ 32.55, rel. 23; 2θ 49.71, rel. 20; 2θ 18.03, rel. 19; 2θ 61.97, rel. 12; 2θ 66.96, rel. 11; 2θ 46.70, rel. 10

Crystal structure
a = 11.004 Å, b = 11.004 Å, c = 11.004 Å
α = 90.00°, β = 90.00°, γ = 90.00°
Atoms (fractional coordinates):
1 Ba 0.000 0.000 0.000
2 Ba 0.000 0.250 0.500
3 Ba 0.000 0.750 0.500
4 Ba 0.250 0.500 0.000
5 Ba 0.500 0.000 0.250
6 Ba 0.500 0.000 0.750
7 Ba 0.500 0.500 0.500
8 Ba 0.750 0.500 0.000
9 Ge 0.000 0.309 0.117
10 Ge 0.000 0.309 0.883
11 Ge 0.000 0.691 0.117
12 Ge 0.000 0.691 0.883
13 Ge 0.117 0.000 0.309
14 Ge 0.117 0.000 0.691
15 Ge 0.183 0.183 0.183
16 Ge 0.183 0.183 0.817
17 Ge 0.183 0.817 0.183
18 Ge 0.183 0.817 0.817
19 Ge 0.191 0.500 0.383
20 Ge 0.191 0.500 0.617
21 Ge 0.309 0.117 0.000
22 Ge 0.309 0.883 0.000
23 Ge 0.317 0.317 0.317
24 Ge 0.317 0.317 0.683
25 Ge 0.317 0.683 0.317
26 Ge 0.317 0.683 0.683
27 Ge 0.383 0.191 0.500
28 Ge 0.383 0.809 0.500
29 Ge 0.500 0.383 0.191
30 Ge 0.500 0.383 0.809
31 Ge 0.500 0.617 0.191
32 Ge 0.500 0.617 0.809
33 Ge 0.617 0.191 0.500
34 Ge 0.617 0.809 0.500
35 Ge 0.683 0.317 0.317
36 Ge 0.683 0.317 0.683
37 Ge 0.683 0.683 0.317
38 Ge 0.683 0.683 0.683
39 Ge 0.691 0.117 0.000
40 Ge 0.691 0.883 0.000
41 Ge 0.809 0.500 0.383
42 Ge 0.809 0.500 0.617
43 Ge 0.817 0.183 0.183
44 Ge 0.817 0.183 0.817
45 Ge 0.817 0.817 0.183
46 Ge 0.817 0.817 0.817
47 Ge 0.883 0.000 0.309
48 Ge 0.883 0.000 0.691
49 Au 0.000 0.500 0.250
50 Au 0.000 0.500 0.750
51 Au 0.250 0.000 0.500
52 Au 0.500 0.250 0.000
53 Au 0.500 0.750 0.000
54 Au 0.750 0.000 0.500


LiTiO2: computed powder XRD pattern (Cu Kα, 1.54184 Å), based on a PBE-relaxed structure.
Peak positions follow from Bragg's law for the DFT cell and can differ from measured ones.

Largest 10 diffraction maxima, by intensity, 5 to 70 degrees two-theta:
2θ 43.08, rel. 100; 2θ 22.25, rel. 80; 2θ 30.09, rel. 72; 2θ 64.36, rel. 49; 2θ 45.40, rel. 42; 2θ 49.00, rel. 33; 2θ 62.55, rel. 27; 2θ 55.43, rel. 22; 2θ 37.74, rel. 16; 2θ 67.27, rel. 11

Crystal structure
a = 2.970 Å, b = 2.970 Å, c = 3.996 Å
α = 90.00°, β = 90.00°, γ = 90.00°
Atoms (fractional coordinates):
1 Li 0.000 0.000 0.000
2 Ti 0.500 0.500 0.500
3 O 0.000 0.000 0.500
4 O 0.500 0.500 0.000


Pr3Hf: computed powder XRD pattern (Cu Kα, 1.54184 Å), based on a PBE-relaxed structure.
Peak positions follow from Bragg's law for the DFT cell and can differ from measured ones.

Largest 7 diffraction maxima, by intensity, 5 to 70 degrees two-theta:
2θ 30.79, rel. 100; 2θ 35.70, rel. 51; 2θ 61.11, rel. 43; 2θ 51.38, rel. 36; 2θ 64.14, rel. 12; 2θ 17.63, rel. 1; 2θ 25.04, rel. 1

Crystal structure
a = 5.030 Å, b = 5.030 Å, c = 5.030 Å
α = 90.00°, β = 90.00°, γ = 90.00°
Atoms (fractional coordinates):
1 Pr 0.000 0.000 0.500
2 Pr 0.000 0.500 0.000
3 Pr 0.500 0.000 0.000
4 Hf 0.500 0.500 0.500


RbMgBr3O6: computed powder XRD pattern (Cu Kα, 1.54184 Å), based on a PBE-relaxed structure.
Peak positions follow from Bragg's law for the DFT cell and can differ from measured ones.

Largest 10 diffraction maxima, by intensity, 5 to 70 degrees two-theta:
2θ 14.94, rel. 100; 2θ 25.48, rel. 87; 2θ 28.48, rel. 68; 2θ 29.64, rel. 63; 2θ 28.76, rel. 50; 2θ 35.06, rel. 33; 2θ 15.75, rel. 31; 2θ 38.35, rel. 28; 2θ 33.33, rel. 27; 2θ 17.33, rel. 26

Crystal structure
a = 7.094 Å, b = 7.094 Å, c = 10.416 Å
α = 99.05°, β = 99.05°, γ = 63.42°
Atoms (fractional coordinates):
1 Rb 0.060 0.940 0.750
2 Rb 0.940 0.060 0.250
3 Mg 0.000 0.500 0.000
4 Mg 0.500 0.000 0.500
5 Br 0.000 0.500 0.500
6 Br 0.245 0.390 0.782
7 Br 0.390 0.245 0.282
8 Br 0.500 0.000 0.000
9 Br 0.610 0.755 0.718
10 Br 0.755 0.610 0.218
11 O 0.021 0.358 0.801
12 O 0.222 0.240 0.571
13 O 0.236 0.555 0.931
14 O 0.240 0.222 0.071
15 O 0.358 0.021 0.301
16 O 0.445 0.764 0.569
17 O 0.555 0.236 0.431
18 O 0.642 0.979 0.699
19 O 0.760 0.778 0.929
20 O 0.764 0.445 0.069
21 O 0.778 0.760 0.429
22 O 0.979 0.642 0.199


LiSmO2: computed powder XRD pattern (Cu Kα, 1.54184 Å), based on a PBE-relaxed structure.
Peak positions follow from Bragg's law for the DFT cell and can differ from measured ones.

Largest 10 diffraction maxima, by intensity, 5 to 70 degrees two-theta:
2θ 24.73, rel. 100; 2θ 29.00, rel. 96; 2θ 35.80, rel. 81; 2θ 21.65, rel. 66; 2θ 32.01, rel. 60; 2θ 33.71, rel. 41; 2θ 47.99, rel. 34; 2θ 44.48, rel. 31; 2θ 44.12, rel. 29; 2θ 57.30, rel. 24

Crystal structure
a = 5.740 Å, b = 6.045 Å, c = 5.730 Å
α = 90.00°, β = 102.79°, γ = 90.00°
Atoms (fractional coordinates):
1 Li 0.165 0.138 0.177
2 Li 0.165 0.362 0.677
3 Li 0.835 0.638 0.323
4 Li 0.835 0.862 0.823
5 Sm 0.298 0.571 0.195
6 Sm 0.298 0.929 0.695
7 Sm 0.702 0.071 0.305
8 Sm 0.702 0.429 0.805
9 O 0.072 0.635 0.798
10 O 0.072 0.865 0.298
11 O 0.416 0.239 0.983
12 O 0.416 0.261 0.483
13 O 0.584 0.739 0.517
14 O 0.584 0.761 0.017
15 O 0.928 0.135 0.702
16 O 0.928 0.365 0.202


Zr2CoMo3: computed powder XRD pattern (Cu Kα, 1.54184 Å), based on a PBE-relaxed structure.
Peak positions follow from Bragg's law for the DFT cell and can differ from measured ones.

Largest 10 diffraction maxima, by intensity, 5 to 70 degrees two-theta:
2θ 40.98, rel. 100; 2θ 40.03, rel. 96; 2θ 36.60, rel. 76; 2θ 67.53, rel. 38; 2θ 62.71, rel. 28; 2θ 41.28, rel. 23; 2θ 65.08, rel. 22; 2θ 34.12, rel. 19; 2θ 39.60, rel. 18; 2θ 44.90, rel. 15

Crystal structure
a = 5.255 Å, b = 5.255 Å, c = 8.747 Å
α = 90.00°, β = 90.00°, γ = 120.00°
Atoms (fractional coordinates):
1 Zr 0.333 0.667 0.059
2 Zr 0.333 0.667 0.441
3 Zr 0.667 0.333 0.559
4 Zr 0.667 0.333 0.941
5 Co 0.000 0.000 0.000
6 Co 0.000 0.000 0.500
7 Mo 0.168 0.337 0.750
8 Mo 0.168 0.832 0.750
9 Mo 0.337 0.168 0.250
10 Mo 0.663 0.832 0.750
11 Mo 0.832 0.168 0.250
12 Mo 0.832 0.663 0.250


Ce2ThS5: computed powder XRD pattern (Cu Kα, 1.54184 Å), based on a PBE-relaxed structure.
Peak positions follow from Bragg's law for the DFT cell and can differ from measured ones.

Largest 10 diffraction maxima, by intensity, 5 to 70 degrees two-theta:
2θ 25.08, rel. 100; 2θ 25.69, rel. 85; 2θ 35.50, rel. 70; 2θ 26.17, rel. 70; 2θ 45.12, rel. 60; 2θ 23.56, rel. 44; 2θ 36.91, rel. 34; 2θ 51.22, rel. 31; 2θ 43.90, rel. 28; 2θ 51.48, rel. 27

Crystal structure
a = 12.071 Å, b = 8.250 Å, c = 7.551 Å
α = 90.00°, β = 90.00°, γ = 90.00°
Atoms (fractional coordinates):
1 Ce 0.178 0.001 0.021
2 Ce 0.178 0.499 0.021
3 Ce 0.322 0.501 0.521
4 Ce 0.322 0.999 0.521
5 Ce 0.678 0.001 0.479
6 Ce 0.678 0.499 0.479
7 Ce 0.822 0.501 0.979
8 Ce 0.822 0.999 0.979
9 Th 0.009 0.250 0.576
10 Th 0.491 0.750 0.076
11 Th 0.509 0.250 0.924
12 Th 0.991 0.750 0.424
13 S 0.001 0.250 0.959
14 S 0.099 0.543 0.665
15 S 0.099 0.957 0.665
16 S 0.188 0.250 0.328
17 S 0.217 0.750 0.301
18 S 0.283 0.250 0.801
19 S 0.312 0.750 0.828
20 S 0.401 0.043 0.165
21 S 0.401 0.457 0.165
22 S 0.499 0.750 0.459
23 S 0.501 0.250 0.541
24 S 0.599 0.543 0.835
25 S 0.599 0.957 0.835
26 S 0.688 0.250 0.172
27 S 0.717 0.750 0.199
28 S 0.783 0.250 0.699
29 S 0.812 0.750 0.672
30 S 0.901 0.043 0.335
31 S 0.901 0.457 0.335
32 S 0.999 0.750 0.041


ZnTcMo: computed powder XRD pattern (Cu Kα, 1.54184 Å), based on a PBE-relaxed structure.
Peak positions follow from Bragg's law for the DFT cell and can differ from measured ones.

Largest 7 diffraction maxima, by intensity, 5 to 70 degrees two-theta:
2θ 42.72, rel. 100; 2θ 25.78, rel. 38; 2θ 50.57, rel. 17; 2θ 62.01, rel. 16; 2θ 29.85, rel. 10; 2θ 68.30, rel. 7; 2θ 52.99, rel. 3

Crystal structure
a = 4.233 Å, b = 4.233 Å, c = 4.233 Å
α = 60.00°, β = 60.00°, γ = 60.00°
Atoms (fractional coordinates):
1 Zn 0.000 0.000 0.000
2 Tc 0.500 0.500 0.500
3 Mo 0.750 0.750 0.750


RbCu3GeSe4: computed powder XRD pattern (Cu Kα, 1.54184 Å), based on a PBE-relaxed structure.
Peak positions follow from Bragg's law for the DFT cell and can differ from measured ones.

Largest 10 diffraction maxima, by intensity, 5 to 70 degrees two-theta:
2θ 40.66, rel. 100; 2θ 24.57, rel. 87; 2θ 48.08, rel. 33; 2θ 14.11, rel. 29; 2θ 20.01, rel. 19; 2θ 35.02, rel. 17; 2θ 58.86, rel. 13; 2θ 52.58, rel. 13; 2θ 62.82, rel. 12; 2θ 54.72, rel. 12

Crystal structure
a = 6.276 Å, b = 6.276 Å, c = 6.276 Å
α = 90.00°, β = 90.00°, γ = 90.00°
Atoms (fractional coordinates):
1 Rb 0.000 0.000 0.000
2 Cu 0.000 0.500 0.500
3 Cu 0.500 0.000 0.500
4 Cu 0.500 0.500 0.000
5 Ge 0.500 0.500 0.500
6 Se 0.285 0.285 0.715
7 Se 0.285 0.715 0.285
8 Se 0.715 0.285 0.285
9 Se 0.715 0.715 0.715


Ni2SbTe2: computed powder XRD pattern (Cu Kα, 1.54184 Å), based on a PBE-relaxed structure.
Peak positions follow from Bragg's law for the DFT cell and can differ from measured ones.

Largest 10 diffraction maxima, by intensity, 5 to 70 degrees two-theta:
2θ 31.22, rel. 100; 2θ 46.10, rel. 41; 2θ 43.34, rel. 38; 2θ 56.73, rel. 18; 2θ 59.06, rel. 15; 2θ 11.17, rel. 13; 2θ 65.12, rel. 11; 2θ 58.47, rel. 9; 2θ 33.96, rel. 7; 2θ 22.45, rel. 4

Crystal structure
a = 3.938 Å, b = 3.938 Å, c = 15.839 Å
α = 90.00°, β = 90.00°, γ = 120.00°
Atoms (fractional coordinates):
1 Ni 0.000 0.000 0.166
2 Ni 0.000 0.000 0.334
3 Ni 0.000 0.000 0.666
4 Ni 0.000 0.000 0.834
5 Sb 0.333 0.667 0.250
6 Sb 0.667 0.333 0.750
7 Te 0.333 0.667 0.590
8 Te 0.333 0.667 0.910
9 Te 0.667 0.333 0.090
10 Te 0.667 0.333 0.410